Theoretical powder XRD pattern of Cu3P for Cu Ka, from DFT lattice parameters and positions (GGA-PBE).
Peak positions follow from Bragg's law for the DFT cell and can differ from measured ones.

Most intense lines, 2θ = 15–90°, sorted by position:
d/Å	I (rel.)	index
2.498	49	1 1 2
2.308	50	2 0 2
2.171	46	2 1 1
2.009	100	3 0 0
1.971	88	1 1 3
1.923	22	2 1 2
1.290	18	3 2 2
1.223	17	3 1 4

Structural model:
```
data_Cu3P
_chemical_formula_sum 'Cu18 P6'
_symmetry_space_group_name_H-M 'P 63 c m'
_symmetry_Int_Tables_number 185
_symmetry_space_group_name_Hall 'P 6c -2'
_cell_length_a 6.9582
_cell_length_b 6.9582
_cell_length_c 7.1781
_cell_angle_alpha 90.00
_cell_angle_beta 90.00
_cell_angle_gamma 120.00
loop_
_atom_site_label
_atom_site_fract_x
_atom_site_fract_y
_atom_site_fract_z
_atom_site_occupancy
Cu1 0.0000 0.0000 0.0000 1
Cu2 0.0000 0.2718 0.2499 1
Cu3 0.0000 0.3842 0.5984 1
Cu4 0.3333 0.6667 0.3600 1
P1 0.0000 0.3308 0.9231 1
```

=====

Theoretical powder XRD pattern of Cu3P for Cu Ka, from DFT lattice parameters and positions (GGA-PBE).
Peak positions follow from Bragg's law for the DFT cell and can differ from measured ones.

Most intense lines, 2θ = 15–90°, sorted by position:
d/Å	I (rel.)	index
2.304	64	2 0 2
2.170	61	2 1 1
2.009	100	3 0 0
1.966	94	1 1 3
1.921	53	1 2 2
1.713	20	1 0 4
1.289	22	2 3 2
1.152	24	4 0 4

Structural model:
```
data_Cu3P
_chemical_formula_sum 'Cu18 P6'
_symmetry_space_group_name_H-M 'P -3 c 1'
_symmetry_Int_Tables_number 165
_symmetry_space_group_name_Hall '-P 3 2"c'
_cell_length_a 6.9579
_cell_length_b 6.9579
_cell_length_c 7.1484
_cell_angle_alpha 90.00
_cell_angle_beta 90.00
_cell_angle_gamma 120.00
loop_
_atom_site_label
_atom_site_fract_x
_atom_site_fract_y
_atom_site_fract_z
_atom_site_occupancy
Cu1 0.0000 0.0000 0.0000 1
Cu2 0.0678 0.3850 0.4208 1
Cu3 0.3333 0.6667 0.1733 1
P1 0.0000 0.3197 0.7500 1
```

=====

Theoretical powder XRD pattern of Cu3P for Cu Ka, from DFT lattice parameters and positions (GGA-PBE).
Peak positions follow from Bragg's law for the DFT cell and can differ from measured ones.

Most intense lines, 2θ = 15–90°, sorted by position:
d/Å	I (rel.)	index
2.500	53	1 1 2
2.309	47	0 2 2
2.173	50	2 1 1
2.011	100	3 0 0
1.972	89	1 1 3
1.925	21	1 2 2
1.720	18	1 0 4
1.224	17	1 3 4

Structural model:
```
data_Cu3P
_chemical_formula_sum 'Cu18 P6'
_symmetry_space_group_name_H-M 'P -3 c 1'
_symmetry_Int_Tables_number 165
_symmetry_space_group_name_Hall '-P 3 2"c'
_cell_length_a 6.9670
_cell_length_b 6.9670
_cell_length_c 7.1791
_cell_angle_alpha 90.00
_cell_angle_beta 90.00
_cell_angle_gamma 120.00
loop_
_atom_site_label
_atom_site_fract_x
_atom_site_fract_y
_atom_site_fract_z
_atom_site_occupancy
Cu1 0.0000 0.0000 0.2500 1
Cu2 0.0656 0.3747 0.4240 1
Cu3 0.3333 0.6667 0.1748 1
P1 0.0000 0.3367 0.7500 1
```

=====

Theoretical powder XRD pattern of CuP2 for Cu Ka, from DFT lattice parameters and positions (GGA-PBE).
Peak positions follow from Bragg's law for the DFT cell and can differ from measured ones.

Most intense lines, 2θ = 15–90°, sorted by position:
d/Å	I (rel.)	index
3.961	24	0 1 1
2.895	100	1 1 1
2.678	17	2 0 -2
2.225	15	1 1 -3
1.811	18	2 0 2
1.792	14	2 2 -2
1.781	13	3 1 -1
1.738	12	1 2 2

Structural model:
```
data_CuP2
_chemical_formula_sum 'Cu4 P8'
_symmetry_space_group_name_H-M 'P 1 21/c 1'
_symmetry_Int_Tables_number 14
_symmetry_space_group_name_Hall '-P 2ybc'
_cell_length_a 5.8045
_cell_length_b 4.8201
_cell_length_c 7.5344
_cell_angle_alpha 90.00
_cell_angle_beta 112.68
_cell_angle_gamma 90.00
loop_
_atom_site_label
_atom_site_fract_x
_atom_site_fract_y
_atom_site_fract_z
_atom_site_occupancy
Cu1 0.1460 0.0376 0.4182 1
P1 0.2460 0.7224 0.6987 1
P2 0.4063 0.1156 0.0802 1
```

=====

Theoretical powder XRD pattern of PrCu4P2 for Cu Ka, from DFT lattice parameters and positions (GGA-PBE).
Peak positions follow from Bragg's law for the DFT cell and can differ from measured ones.

Most intense lines, 2θ = 15–90°, sorted by position:
d/Å	I (rel.)	index
3.677	25	0 4 0
2.601	55	1 4 1
2.590	47	4 2 0
2.518	79	3 2 1
2.351	100	3 3 1
2.161	26	2 5 1
2.062	25	1 7 0
1.952	57	0 0 2

Structural model:
```
data_PrCu4P2
_chemical_formula_sum 'Pr6 Cu24 P12'
_symmetry_space_group_name_H-M 'P n n m'
_symmetry_Int_Tables_number 58
_symmetry_space_group_name_Hall '-P 2 2n'
_cell_length_a 11.0625
_cell_length_b 14.6902
_cell_length_c 3.9049
_cell_angle_alpha 90.00
_cell_angle_beta 90.00
_cell_angle_gamma 90.00
loop_
_atom_site_label
_atom_site_fract_x
_atom_site_fract_y
_atom_site_fract_z
_atom_site_occupancy
Pr1 0.0000 0.0000 0.0000 1
Pr2 0.1205 0.2743 0.0000 1
Cu1 0.0723 0.5615 0.0000 1
Cu2 0.0752 0.8309 0.5000 1
Cu3 0.1009 0.4482 0.5000 1
Cu4 0.1725 0.7136 0.0000 1
Cu5 0.2328 0.9635 0.5000 1
Cu6 0.2446 0.5883 0.5000 1
P1 0.0609 0.6631 0.5000 1
P2 0.1328 0.1148 0.5000 1
P3 0.2063 0.8706 0.0000 1
```

=====

Theoretical powder XRD pattern of CuPS2 for Cu Ka, from DFT lattice parameters and positions (GGA-PBE).
Peak positions follow from Bragg's law for the DFT cell and can differ from measured ones.

Most intense lines, 2θ = 15–90°, sorted by position:
d/Å	I (rel.)	index
3.496	100	1 0 0
2.951	49	0 1 1
2.750	38	0 0 2
2.162	39	0 1 2
2.019	67	1 1 0
1.627	41	1 1 2
1.624	33	0 1 3
1.265	14	2 0 3

Structural model:
```
data_CuPS2
_chemical_formula_sum 'Cu1 P1 S2'
_symmetry_space_group_name_H-M 'P 3 m 1'
_symmetry_Int_Tables_number 156
_symmetry_space_group_name_Hall 'P 3 -2"'
_cell_length_a 4.0370
_cell_length_b 4.0370
_cell_length_c 5.5004
_cell_angle_alpha 90.00
_cell_angle_beta 90.00
_cell_angle_gamma 120.00
loop_
_atom_site_label
_atom_site_fract_x
_atom_site_fract_y
_atom_site_fract_z
_atom_site_occupancy
Cu1 0.0000 0.0000 0.0000 1
P1 0.6667 0.3333 0.4998 1
S1 0.0000 0.0000 0.4122 1
S2 0.6667 0.3333 0.8804 1
```

=====

Theoretical powder XRD pattern of Cu7PS6 for Cu Ka, from DFT lattice parameters and positions (GGA-PBE).
Peak positions follow from Bragg's law for the DFT cell and can differ from measured ones.

Most intense lines, 2θ = 15–90°, sorted by position:
d/Å	I (rel.)	index
3.212	26	2 2 1
2.782	100	2 2 2
2.673	29	3 0 2
2.576	37	3 1 2
2.272	40	4 1 1
2.103	24	4 1 2
1.855	32	3 3 3
1.704	38	4 4 0

Structural model:
```
data_Cu7PS6
_chemical_formula_sum 'Cu28 P4 S24'
_symmetry_space_group_name_H-M 'P 21 3'
_symmetry_Int_Tables_number 198
_symmetry_space_group_name_Hall 'P 2ac 2ab 3'
_cell_length_a 9.6374
_cell_length_b 9.6374
_cell_length_c 9.6374
_cell_angle_alpha 90.00
_cell_angle_beta 90.00
_cell_angle_gamma 90.00
loop_
_atom_site_label
_atom_site_fract_x
_atom_site_fract_y
_atom_site_fract_z
_atom_site_occupancy
Cu1 0.0050 0.4866 0.7773 1
Cu2 0.0740 0.5943 0.2346 1
Cu3 0.1436 0.8564 0.3564 1
P1 0.2472 0.7472 0.7528 1
S1 0.0127 0.9873 0.4873 1
S2 0.1166 0.6305 0.6290 1
S3 0.1283 0.1283 0.1283 1
S4 0.2275 0.2725 0.7275 1
```

=====

Theoretical powder XRD pattern of Cu3PSe2S2 for Cu Ka, from DFT lattice parameters and positions (GGA-PBE).
Peak positions follow from Bragg's law for the DFT cell and can differ from measured ones.

Most intense lines, 2θ = 15–90°, sorted by position:
d/Å	I (rel.)	index
3.278	40	0 2 0
3.228	100	2 1 0
3.143	68	0 0 2
2.872	71	2 1 1
1.883	72	2 3 0
1.766	40	0 2 3
1.758	74	2 1 3
1.615	41	2 3 2

Structural model:
```
data_Cu3PSe2S2
_chemical_formula_sum 'Cu6 P2 Se4 S4'
_symmetry_space_group_name_H-M 'P m n 21'
_symmetry_Int_Tables_number 31
_symmetry_space_group_name_Hall 'P 2ac -2'
_cell_length_a 7.4177
_cell_length_b 6.5569
_cell_length_c 6.2860
_cell_angle_alpha 90.00
_cell_angle_beta 90.00
_cell_angle_gamma 90.00
loop_
_atom_site_label
_atom_site_fract_x
_atom_site_fract_y
_atom_site_fract_z
_atom_site_occupancy
Cu1 0.0000 0.1668 0.0000 1
Cu2 0.2457 0.3406 0.4600 1
P1 0.0000 0.8166 0.4926 1
Se1 0.0000 0.1422 0.6125 1
Se2 0.0000 0.8198 0.1310 1
S1 0.2357 0.6616 0.6006 1
```

=====

Theoretical powder XRD pattern of VCuP2S6 for Cu Ka, from DFT lattice parameters and positions (GGA-PBE).
Peak positions follow from Bragg's law for the DFT cell and can differ from measured ones.

Most intense lines, 2θ = 15–90°, sorted by position:
d/Å	I (rel.)	index
3.671	29	1 0 -1
3.443	99	0 0 2
3.001	35	1 -1 0
2.979	31	1 2 0
2.964	35	2 1 1
2.609	100	-1 1 1
2.589	55	2 1 2
1.743	27	3 0 1

Structural model:
```
data_VCuP2S6
_chemical_formula_sum 'V1 Cu1 P2 S6'
_symmetry_space_group_name_H-M 'P 1'
_symmetry_Int_Tables_number 1
_symmetry_space_group_name_Hall 'P 1'
_cell_length_a 5.9937
_cell_length_b 6.0141
_cell_length_c 7.1658
_cell_angle_alpha 82.58
_cell_angle_beta 73.97
_cell_angle_gamma 60.73
loop_
_atom_site_label
_atom_site_fract_x
_atom_site_fract_y
_atom_site_fract_z
_atom_site_occupancy
V1 0.0000 0.0000 0.0000 1
Cu1 0.2446 0.3175 0.2154 1
P1 0.6018 0.6463 0.1681 1
P2 0.7022 0.6524 0.8493 1
S1 0.0370 0.3045 0.7711 1
S2 0.2239 0.9534 0.2543 1
S3 0.3867 0.6832 0.7743 1
S4 0.6102 0.3027 0.2541 1
S5 0.7625 0.9595 0.7840 1
S6 0.8797 0.6943 0.2492 1
```